Diffraction record for Hf3Bi. The powder diffraction line list is simulated, not measured: it uses DFT lattice parameters and positions (GGA-PBE) and Cu Kα, 1.54184 Å.

Top 8 peaks for 2θ = 10–80°, by intensity:
- 34.44 deg, d 2.604, rel. 100
- 40.99 deg, d 2.202, rel. 31
- 70.47 deg, d 1.336, rel. 26
- 57.05 deg, d 1.614, rel. 24
- 37.89 deg, d 2.374, rel. 19
- 66.23 deg, d 1.411, rel. 15
- 72.62 deg, d 1.302, rel. 12
- 59.37 deg, d 1.557, rel. 11

```
Hf3Bi
1.0
-2.2016 2.2016 4.7488
2.2016 -2.2016 4.7488
2.2016 2.2016 -4.7488
Hf Bi
3 1
direct
0.0000 0.0000 0.0000
0.2500 0.7500 0.5000
0.7500 0.2500 0.5000
0.5000 0.5000 0.0000
```



Diffraction record for HfBi2. The powder diffraction line list is simulated, not measured: it uses DFT lattice parameters and positions (GGA-PBE) and Cu Kα, 1.54184 Å.

Top 10 peaks for 2θ = 10–80°, by intensity:
- 36.11 deg, d 2.487, rel. 100
- 32.86 deg, d 2.726, rel. 94
- 28.60 deg, d 3.121, rel. 41
- 44.74 deg, d 2.026, rel. 36
- 30.27 deg, d 2.953, rel. 34
- 34.69 deg, d 2.586, rel. 33
- 31.11 deg, d 2.875, rel. 24
- 35.20 deg, d 2.549, rel. 21
- 36.72 deg, d 2.448, rel. 21
- 29.14 deg, d 3.065, rel. 21

```
HfBi2
1.0
10.2978 0.0000 0.0000
0.0000 15.7885 0.0000
0.0000 0.0000 4.0514
Hf Bi
8 16
direct
0.0218 0.2470 0.0000
0.1593 0.5042 0.0000
0.3407 0.0042 0.5000
0.4782 0.7470 0.5000
0.5218 0.2530 0.5000
0.6593 0.9958 0.5000
0.8407 0.4958 0.0000
0.9782 0.7530 0.0000
0.0128 0.3924 0.5000
0.1245 0.0564 0.0000
0.1551 0.8507 0.5000
0.2356 0.1998 0.5000
0.2644 0.6998 0.0000
0.3449 0.3507 0.0000
0.3755 0.5564 0.5000
0.4872 0.8924 0.0000
0.5128 0.1076 0.0000
0.6245 0.4436 0.5000
0.6551 0.6493 0.0000
0.7356 0.3002 0.0000
0.7644 0.8002 0.5000
0.8449 0.1493 0.5000
0.8755 0.9436 0.0000
0.9872 0.6076 0.5000
```



Diffraction record for KHf4BiO12. The powder diffraction line list is simulated, not measured: it uses DFT lattice parameters and positions (GGA-PBE) and Cu Kα, 1.54184 Å.

Top 10 peaks for 2θ = 10–80°, by intensity:
- 30.85 deg, d 2.898, rel. 100
- 31.41 deg, d 2.848, rel. 94
- 31.17 deg, d 2.869, rel. 86
- 18.92 deg, d 4.690, rel. 56
- 22.29 deg, d 3.989, rel. 42
- 54.92 deg, d 1.672, rel. 42
- 21.52 deg, d 4.130, rel. 41
- 55.36 deg, d 1.660, rel. 39
- 21.84 deg, d 4.069, rel. 39
- 55.97 deg, d 1.643, rel. 35

```
KHf4BiO12
1.0
8.2597 0.0000 0.0000
0.0000 4.0689 3.9887
0.0000 -4.0689 3.9887
K Hf Bi O
1 4 1 12
direct
0.0000 0.0000 0.0000
0.2455 0.0353 0.5191
0.2455 0.5191 0.0353
0.7545 0.0353 0.5191
0.7545 0.5191 0.0353
0.5000 0.5722 0.5722
0.0000 0.0508 0.5015
0.0000 0.5015 0.0508
0.2437 0.2225 0.8260
0.2437 0.8260 0.2225
0.2626 0.7188 0.7188
0.3255 0.3532 0.3532
0.5000 0.5044 0.9432
0.5000 0.9432 0.5044
0.6745 0.3532 0.3532
0.7374 0.7188 0.7188
0.7563 0.2225 0.8260
0.7563 0.8260 0.2225
```



Diffraction record for KHfZrBiO6. The powder diffraction line list is simulated, not measured: it uses DFT lattice parameters and positions (GGA-PBE) and Cu Kα, 1.54184 Å.

Top 10 peaks for 2θ = 10–80°, by intensity:
- 30.40 deg, d 2.940, rel. 100
- 54.02 deg, d 1.698, rel. 41
- 18.48 deg, d 4.801, rel. 31
- 43.53 deg, d 2.079, rel. 30
- 35.81 deg, d 2.507, rel. 19
- 63.26 deg, d 1.470, rel. 19
- 71.79 deg, d 1.315, rel. 18
- 47.67 deg, d 1.908, rel. 9
- 57.59 deg, d 1.600, rel. 7
- 66.52 deg, d 1.406, rel. 7

```
KHfZrBiO6
1.0
0.0000 4.1580 4.1580
4.1580 0.0000 4.1580
4.1580 4.1580 0.0000
K Hf Zr Bi O
1 1 1 1 6
direct
0.0000 0.0000 0.0000
0.2500 0.2500 0.2500
0.7500 0.7500 0.7500
0.5000 0.5000 0.5000
0.0019 0.0019 0.4981
0.0019 0.4981 0.0019
0.0019 0.4981 0.4981
0.4981 0.0019 0.0019
0.4981 0.0019 0.4981
0.4981 0.4981 0.0019
```



Diffraction record for HfMg14Bi. The powder diffraction line list is simulated, not measured: it uses DFT lattice parameters and positions (GGA-PBE) and Cu Kα, 1.54184 Å.

Top 10 peaks for 2θ = 10–80°, by intensity:
- 36.89 deg, d 2.436, rel. 100
- 18.04 deg, d 4.917, rel. 71
- 36.55 deg, d 2.459, rel. 52
- 15.88 deg, d 5.582, rel. 47
- 17.06 deg, d 5.196, rel. 40
- 23.39 deg, d 3.803, rel. 39
- 34.52 deg, d 2.598, rel. 38
- 32.46 deg, d 2.758, rel. 36
- 33.61 deg, d 2.666, rel. 32
- 48.11 deg, d 1.891, rel. 24

```
HfMg14Bi
1.0
10.3919 0.0000 0.0000
0.0000 3.1730 5.5820
0.0000 -3.1730 5.5820
Hf Mg Bi
1 14 1
direct
0.0000 0.0000 0.0000
0.0000 0.0022 0.4979
0.0000 0.4979 0.0022
0.2487 0.1651 0.1651
0.2531 0.1606 0.6715
0.2535 0.6693 0.6693
0.2531 0.6715 0.1606
0.5000 0.0004 0.0004
0.5000 0.0005 0.5002
0.5000 0.5002 0.0005
0.5000 0.5004 0.5004
0.7469 0.1606 0.6715
0.7465 0.6693 0.6693
0.7469 0.6715 0.1606
0.7513 0.1651 0.1651
0.0000 0.5017 0.5017
```



Diffraction record for HfMg6Bi. The powder diffraction line list is simulated, not measured: it uses DFT lattice parameters and positions (GGA-PBE) and Cu Kα, 1.54184 Å.

Top 10 peaks for 2θ = 10–80°, by intensity:
- 37.21 deg, d 2.416, rel. 100
- 15.72 deg, d 5.639, rel. 73
- 16.56 deg, d 5.352, rel. 65
- 22.91 deg, d 3.882, rel. 63
- 33.50 deg, d 2.675, rel. 57
- 36.00 deg, d 2.494, rel. 46
- 33.09 deg, d 2.707, rel. 36
- 46.82 deg, d 1.940, rel. 33
- 47.79 deg, d 1.903, rel. 26
- 62.34 deg, d 1.489, rel. 22

```
HfMg6Bi
1.0
5.3520 0.0000 0.0000
0.0000 3.0864 5.6389
0.0000 -3.0864 5.6389
Hf Mg Bi
1 6 1
direct
0.0000 0.0000 0.0000
0.0000 0.0010 0.4966
0.0000 0.4966 0.0010
0.5000 0.1529 0.6736
0.5000 0.1618 0.1618
0.5000 0.6699 0.6699
0.5000 0.6736 0.1529
0.0000 0.4996 0.4996
```